Entry 1:
Simulated powder XRD pattern of Pm3DyHo7 for λ = 1.5418 Å (Cu Kα), from a cell relaxed with GGA-PBE.
Intensities are scaled so that the largest is 100.

Most intense lines, 2θ from 5° to 70°, by angle:
2theta  d/Å  I/Imax
31.42  2.847  34
31.71  2.822  41
31.84  2.811  100
32.07  2.791  68
32.31  2.770  23
32.49  2.756  75
32.88  2.724  77
57.52  1.602  22

Crystal structure
```
Pm3DyHo7
1.0
6.9340 0.0000 0.0000
0.0000 5.5117 0.0000
-3.3291 0.0000 9.3991
Pm Dy Ho
3 1 7
Direct
0.0000 0.0000 0.0000
0.2812 0.5000 0.4967
0.7188 0.5000 0.5033
0.5000 0.0000 0.0000
0.0000 0.0000 0.5000
0.1480 0.5000 0.7893
0.3207 0.5000 0.1376
0.4224 0.0000 0.3294
0.5776 0.0000 0.6706
0.6793 0.5000 0.8624
0.8520 0.5000 0.2107
```

Entry 2:
Simulated powder XRD pattern of Sr11Ga4Sn3 for λ = 1.5418 Å (Cu Kα), from a cell relaxed with GGA-PBE.
Intensities are scaled so that the largest is 100.

Most intense lines, 2θ from 5° to 70°, by angle:
2theta  d/Å  I/Imax
26.81  3.326  79
29.23  3.055  62
30.61  2.921  93
31.05  2.880  100
34.02  2.635  32
40.08  2.250  47
44.49  2.037  35
51.84  1.764  34

Crystal structure
```
Sr11Ga4Sn3
1.0
0.0000 8.6403 8.6403
8.6403 0.0000 8.6403
8.6403 8.6403 0.0000
Sr Ga Sn
22 8 6
Direct
0.0000 0.0000 0.0000
0.0000 0.0000 0.3347
0.0000 0.0000 0.6653
0.0000 0.3347 0.0000
0.0000 0.3347 0.6653
0.0000 0.6653 0.0000
0.0000 0.6653 0.3347
0.1076 0.6308 0.6308
0.3347 0.0000 0.0000
0.3347 0.0000 0.6653
0.3347 0.6653 0.0000
0.3692 0.3692 0.3692
0.3692 0.3692 0.8924
0.3692 0.8924 0.3692
0.5000 0.5000 0.5000
0.6308 0.1076 0.6308
0.6308 0.6308 0.1076
0.6308 0.6308 0.6308
0.6653 0.0000 0.0000
0.6653 0.0000 0.3347
0.6653 0.3347 0.0000
0.8924 0.3692 0.3692
0.1937 0.1937 0.1937
0.1937 0.1937 0.4190
0.1937 0.4190 0.1937
0.4190 0.1937 0.1937
0.5810 0.8063 0.8063
0.8063 0.5810 0.8063
0.8063 0.8063 0.5810
0.8063 0.8063 0.8063
0.2829 0.2829 0.7171
0.2829 0.7171 0.2829
0.2829 0.7171 0.7171
0.7171 0.2829 0.2829
0.7171 0.2829 0.7171
0.7171 0.7171 0.2829
```

Entry 3:
Simulated powder XRD pattern of Ce2Th2O7 for λ = 1.5418 Å (Cu Kα), from a cell relaxed with GGA-PBE.
Intensities are scaled so that the largest is 100.

Most intense lines, 2θ from 5° to 70°, by angle:
2theta  d/Å  I/Imax
7.91  11.183  15
27.65  3.227  100
32.03  2.794  36
33.04  2.711  4
45.93  1.976  50
54.45  1.685  46
57.09  1.613  10
66.98  1.397  8

Crystal structure
```
Ce2Th2O7
1.0
3.9510 0.0000 0.0000
0.0000 3.9510 0.0000
0.0000 0.0000 11.1832
Ce Th O
2 2 7
Direct
0.0000 0.5000 0.1327
0.5000 0.0000 0.8673
0.0000 0.5000 0.6262
0.5000 0.0000 0.3738
0.0000 0.0000 0.2397
0.0000 0.0000 0.5000
0.0000 0.0000 0.7603
0.5000 0.5000 0.0000
0.5000 0.5000 0.2555
0.5000 0.5000 0.5000
0.5000 0.5000 0.7445
```

Entry 4:
Simulated powder XRD pattern of Zr4Se5S for λ = 1.5418 Å (Cu Kα), from a cell relaxed with GGA-PBE.
Intensities are scaled so that the largest is 100.

Most intense lines, 2θ from 5° to 70°, by angle:
2theta  d/Å  I/Imax
11.97  7.395  17
29.96  2.983  13
33.22  2.697  51
33.55  2.671  100
47.55  1.912  35
48.18  1.889  34
48.32  1.884  33
59.80  1.547  18

Crystal structure
```
Zr4Se5S
1.0
8.2706 -1.8879 0.0000
8.2706 1.8879 0.0000
-1.5709 0.0000 7.3954
Zr Se S
4 5 1
Direct
0.9997 0.9997 0.2292
0.0003 0.0003 0.7708
0.3430 0.3430 0.9245
0.6570 0.6570 0.0755
0.1654 0.1654 0.3324
0.1715 0.1715 0.8176
0.5000 0.5000 0.5000
0.8285 0.8285 0.1824
0.8346 0.8346 0.6676
0.5000 0.5000 0.0000
```